The following is a theoretical X-ray powder pattern of Ba3Y4O9. It was derived from a GGA-PBE-relaxed structure, using Cu Ka.
Intensities are scaled so that the largest is 100.

Structure:
```
16
Lattice="3.080 1.778 8.568 -3.080 1.778 8.568 0.000 -3.557 8.568" Properties=species:S:1:pos:R:3 pbc="T T T"
Ba 0.000 0.000 0.000
Ba 0.000 0.000 4.280
Ba 0.000 0.000 15.044
Y 0.000 0.000 7.746
Y 0.000 0.000 10.975
Y 0.000 0.000 19.007
Y 0.000 0.000 22.230
O -0.399 -1.781 6.422
O -1.670 -0.521 9.252
O -1.809 -0.582 12.139
O -1.343 1.236 6.422
O 1.286 -1.185 9.252
O 1.408 -1.275 12.139
O 0.383 1.707 9.252
O 1.742 0.545 6.422
O 0.400 1.857 12.139
```

The 12 most intense peaks (5 to 70 degrees two-theta), most intense first:
28.99 deg, I = 100
29.53 deg, I = 82
41.86 deg, I = 46
51.72 deg, I = 36
51.38 deg, I = 24
60.09 deg, I = 20
24.04 deg, I = 17
68.35 deg, I = 14
52.00 deg, I = 12
52.73 deg, I = 9
38.00 deg, I = 8
43.20 deg, I = 8